Entry 1:
Gd: theoretical XRD peak list (Cu Kα (λ = 1.5418 Å)), based on a crystal structure in the Materials Project, relaxed with GGA-PBE.
Lines closer than 0.1° are merged.

Peak list (10 most intense, 2θ = 10–90°, in order of rising 2θ)
2θ (°)  intensity  (hkl)
28.52  235  1 0 0
31.00  253  0 0 2
32.55  1000  1 0 1
42.62  159  1 0 2
50.51  195  1 1 0
56.13  213  1 0 3
60.45  227  1 1 2
61.39  162  2 0 1
83.40  138  2 1 1
86.29  86  1 1 4

a b c (Å): 3.6139 3.6139 5.7701
angles (deg): 90.00 90.00 120.00
Space group P6_3/mmc (No. 194)
Symmetry-distinct sites (fractional):
Gd1 0.3333 0.6667 0.2500 [2 per cell]

=====

Entry 2:
BaTi4Bi4O15: theoretical XRD peak list (Cu Kα (λ = 1.5418 Å)), based on a crystal structure in the Materials Project, relaxed with GGA-PBE.
Lines closer than 0.1° are merged.

Peak list (10 most intense, 2θ = 10–90°, in order of rising 2θ)
2θ (°)  intensity  (hkl)
13.04  132  0 0 6
22.91  198  1 0 1
27.54  130  1 0 7
30.26  1000  1 0 9
32.48  441  1 1 0
39.47  243  1 1 10
46.59  271  2 0 0
48.66  108  1 1 16
52.30  172  1 1 18
56.56  352  2 1 9

a b c (Å): 3.899 3.899 40.732
angles (deg): 90.00 90.00 90.00
Space group I4/mmm (No. 139)
Symmetry-distinct sites (fractional):
Ba1 0.000 0.000 0.000 [2 per cell]
Ti1 0.000 0.000 0.347 [4 per cell]
Ti2 0.000 0.000 0.449 [4 per cell]
Bi1 0.000 0.000 0.104 [4 per cell]
Bi2 0.000 0.000 0.219 [4 per cell]
O1 0.000 0.000 0.303 [4 per cell]
O2 0.000 0.000 0.401 [4 per cell]
O3 0.000 0.000 0.500 [2 per cell]
O4 0.000 0.500 0.052 [8 per cell]
O5 0.000 0.500 0.143 [8 per cell]
O6 0.000 0.500 0.250 [4 per cell]

=====

Entry 3:
Eu2BiAu: theoretical XRD peak list (Cu Kα (λ = 1.5418 Å)), based on a crystal structure in the Materials Project, relaxed with GGA-PBE.
Lines closer than 0.1° are merged.

Peak list (10 most intense, 2θ = 10–90°, in order of rising 2θ)
2θ (°)  intensity  (hkl)
22.76  22  2 0 0
32.40  1000  2 2 0
39.96  8  2 2 2
46.48  186  4 0 0
52.36  11  4 2 0
57.80  390  4 2 2
67.84  122  4 4 0
72.58  6  6 0 0
77.20  171  6 2 0
86.23  45  4 4 4

a b c (Å): 7.815 7.815 7.815
angles (deg): 90.00 90.00 90.00
Space group Fm-3m (No. 225)
Symmetry-distinct sites (fractional):
Eu1 0.250 0.250 0.250 [8 per cell]
Bi1 0.000 0.000 0.000 [4 per cell]
Au1 0.000 0.000 0.500 [4 per cell]

=====

Entry 4:
Mn2Au: theoretical XRD peak list (Cu Kα (λ = 1.5418 Å)), based on a crystal structure in the Materials Project, relaxed with GGA-PBE.
Lines closer than 0.1° are merged.

Peak list (10 most intense, 2θ = 10–90°, in order of rising 2θ)
2θ (°)  intensity  (hkl)
15.63  417  0 0 2
31.55  120  0 0 4
32.24  383  1 0 1
39.48  1000  1 0 3
44.76  350  1 1 0
47.69  115  1 1 2
48.14  138  0 0 6
65.16  111  2 0 0
67.83  192  1 1 6
78.93  255  2 1 3

a b c (Å): 2.863 2.863 11.342
angles (deg): 90.00 90.00 90.00
Space group I4/mmm (No. 139)
Symmetry-distinct sites (fractional):
Mn1 0.000 0.000 0.173 [4 per cell]
Au1 0.000 0.000 0.500 [2 per cell]